Record 1
Simulated powder diffraction line list of HoSc2Ga for Cu Kα, 1.54184 Å, from a GGA-PBE-relaxed structure.
No peak broadening, texture or thermal motion is included.

```
data_HoSc2Ga
_chemical_formula_sum 'Ho4 Sc8 Ga4'
_cell_length_a 4.259
_cell_length_b 11.301
_cell_length_c 8.083
_cell_angle_alpha 90.00
_cell_angle_beta 90.00
_cell_angle_gamma 90.00
_space_group_name_H-M_alt 'C m c m'
_space_group_IT_number 63
_space_group_name_Hall '-C 2c 2'
loop_
_atom_site_label
_atom_site_type_symbol
_atom_site_fract_x
_atom_site_fract_y
_atom_site_fract_z
_atom_site_occupancy
Ho1 Ho 0.000 0.060 0.250 1
Sc1 Sc 0.000 0.358 0.056 1
Ga1 Ga 0.000 0.233 0.750 1
```

The 12 most intense peaks (2θ from 10° to 80°), most intense first:
2θ = 33.63°, intensity 100, hkl 1 3 1
2θ = 31.53°, intensity 65, hkl 1 1 2
2θ = 21.99°, intensity 27, hkl 0 0 2
2θ = 46.60°, intensity 25, hkl 1 3 3
2θ = 22.31°, intensity 19, hkl 1 1 0
2θ = 42.45°, intensity 18, hkl 2 0 0
2θ = 66.68°, intensity 16, hkl 1 3 5
2θ = 57.49°, intensity 16, hkl 2 2 3
2θ = 36.96°, intensity 15, hkl 0 2 3
2θ = 55.20°, intensity 14, hkl 2 4 1
2θ = 31.71°, intensity 12, hkl 1 3 0
2θ = 19.17°, intensity 11, hkl 0 2 1

Record 2
Simulated powder diffraction line list of HoSc3Ga2 for Cu Kα, 1.54184 Å, from a GGA-PBE-relaxed structure.
No peak broadening, texture or thermal motion is included.

```
data_HoSc3Ga2
_chemical_formula_sum 'Ho2 Sc6 Ga4'
_cell_length_a 4.608
_cell_length_b 9.000
_cell_length_c 6.359
_cell_angle_alpha 90.00
_cell_angle_beta 90.00
_cell_angle_gamma 90.00
_space_group_name_H-M_alt 'P m c 21'
_space_group_IT_number 26
loop_
_space_group_symop_operation_xyz
'x,y,z'
'-x,-y,z+1/2'
'-x,y,z'
'x,-y,z+1/2'
loop_
_atom_site_label
_atom_site_type_symbol
_atom_site_fract_x
_atom_site_fract_y
_atom_site_fract_z
_atom_site_occupancy
Ho1 Ho 0.000 0.049 0.000 1
Sc1 Sc 0.000 0.318 0.619 1
Sc2 Sc 0.500 0.198 0.289 1
Sc3 Sc 0.500 0.449 0.908 1
Ga1 Ga 0.000 0.372 0.170 1
Ga2 Ga 0.500 0.135 0.733 1
```

The 12 most intense peaks (2θ from 10° to 80°), most intense first:
2θ = 35.73°, intensity 100, hkl 1 3 0
2θ = 34.27°, intensity 32, hkl 1 0 2
2θ = 39.10°, intensity 30, hkl 2 0 0
2θ = 38.51°, intensity 23, hkl 1 3 1
2θ = 33.02°, intensity 19, hkl 0 3 1
2θ = 31.14°, intensity 17, hkl 1 2 1
2θ = 34.54°, intensity 16, hkl 0 2 2
2θ = 68.66°, intensity 14, hkl 3 3 0
2θ = 19.26°, intensity 12, hkl 1 0 0
2θ = 52.08°, intensity 10, hkl 2 3 1
2θ = 41.38°, intensity 9, hkl 0 3 2
2θ = 67.72°, intensity 9, hkl 3 0 2

Record 3
Simulated powder diffraction line list of HoSc2Ga for Cu Kα, 1.54184 Å, from a GGA-PBE-relaxed structure.
No peak broadening, texture or thermal motion is included.

```
data_HoSc2Ga
_chemical_formula_sum 'Ho2 Sc4 Ga2'
_cell_length_a 4.290
_cell_length_b 4.396
_cell_length_c 10.453
_cell_angle_alpha 90.00
_cell_angle_beta 101.78
_cell_angle_gamma 90.00
_space_group_name_H-M_alt 'P 1 21/m 1'
_space_group_IT_number 11
loop_
_space_group_symop_operation_xyz
'x,y,z'
'-x,-y,-z'
'-x,y+1/2,-z'
'x,-y+1/2,z'
loop_
_atom_site_label
_atom_site_type_symbol
_atom_site_fract_x
_atom_site_fract_y
_atom_site_fract_z
_atom_site_occupancy
Ho1 Ho 0.194 0.250 0.389 1
Sc1 Sc 0.059 0.750 0.119 1
Sc2 Sc 0.433 0.750 0.864 1
Ga1 Ga 0.343 0.250 0.683 1
```

The 12 most intense peaks (2θ from 10° to 80°), most intense first:
2θ = 29.42°, intensity 100, hkl 1 1 -1
2θ = 31.97°, intensity 60, hkl 1 1 -2
2θ = 36.59°, intensity 56, hkl 1 1 2
2θ = 42.12°, intensity 36, hkl 2 0 -1
2θ = 30.18°, intensity 34, hkl 1 0 2
2θ = 41.07°, intensity 33, hkl 0 2 0
2θ = 35.08°, intensity 30, hkl 0 0 4
2θ = 33.25°, intensity 26, hkl 0 1 3
2θ = 42.71°, intensity 23, hkl 1 1 -4
2θ = 26.74°, intensity 22, hkl 0 1 2
2θ = 60.29°, intensity 21, hkl 2 2 -1
2θ = 37.22°, intensity 21, hkl 1 0 -4

Record 4
Simulated powder diffraction line list of Ho2Sc3Ga4 for Cu Kα, 1.54184 Å, from a GGA-PBE-relaxed structure.
No peak broadening, texture or thermal motion is included.

```
data_Ho2Sc3Ga4
_chemical_formula_sum 'Ho4 Sc6 Ga8'
_cell_length_a 7.553
_cell_length_b 7.562
_cell_length_c 7.260
_cell_angle_alpha 90.00
_cell_angle_beta 107.91
_cell_angle_gamma 90.00
_space_group_name_H-M_alt 'P 1 21/c 1'
_space_group_IT_number 14
loop_
_space_group_symop_operation_xyz
'x,y,z'
'-x,-y,-z'
'-x,y+1/2,-z+1/2'
'x,-y+1/2,z+1/2'
loop_
_atom_site_label
_atom_site_type_symbol
_atom_site_fract_x
_atom_site_fract_y
_atom_site_fract_z
_atom_site_occupancy
Ho1 Ho 0.193 0.178 0.072 1
Sc1 Sc 0.246 0.676 0.248 1
Sc2 Sc 0.500 0.000 0.500 1
Ga1 Ga 0.080 0.533 0.863 1
Ga2 Ga 0.495 0.123 0.872 1
```

The 12 most intense peaks (2θ from 10° to 80°), most intense first:
2θ = 33.97°, intensity 100, hkl 2 2 -1
2θ = 34.19°, intensity 98, hkl 1 1 2
2θ = 17.02°, intensity 80, hkl 1 1 0
2θ = 32.17°, intensity 80, hkl 2 1 -2
2θ = 38.00°, intensity 78, hkl 0 3 1
2θ = 31.33°, intensity 69, hkl 1 2 1
2θ = 39.08°, intensity 63, hkl 1 1 -3
2θ = 34.43°, intensity 48, hkl 2 2 0
2θ = 34.55°, intensity 45, hkl 1 2 -2
2θ = 38.59°, intensity 41, hkl 3 0 -2
2θ = 37.55°, intensity 40, hkl 3 0 0
2θ = 51.31°, intensity 32, hkl 3 3 -1

Record 5
Simulated powder diffraction line list of Ho4GaSiSe2 for Cu Kα, 1.54184 Å, from a GGA-PBE-relaxed structure.
No peak broadening, texture or thermal motion is included.

```
data_Ho4GaSiSe2
_chemical_formula_sum 'Ho8 Ga2 Si2 Se4'
_cell_length_a 5.781
_cell_length_b 5.781
_cell_length_c 11.621
_cell_angle_alpha 90.00
_cell_angle_beta 90.00
_cell_angle_gamma 90.00
_space_group_name_H-M_alt 'I -4 m 2'
_space_group_IT_number 119
_space_group_name_Hall 'I -4 -2'
loop_
_atom_site_label
_atom_site_type_symbol
_atom_site_fract_x
_atom_site_fract_y
_atom_site_fract_z
_atom_site_occupancy
Ho1 Ho 0.000 0.000 0.247 1
Ho2 Ho 0.000 0.500 0.502 1
Ga1 Ga 0.000 0.500 0.250 1
Si1 Si 0.000 0.000 0.000 1
Se1 Se 0.000 0.000 0.500 1
Se2 Se 0.000 0.500 0.750 1
```

The 12 most intense peaks (2θ from 10° to 80°), most intense first:
2θ = 30.94°, intensity 100, hkl 2 0 0
2θ = 44.20°, intensity 75, hkl 2 0 4
2θ = 26.66°, intensity 52, hkl 1 1 2
2θ = 30.78°, intensity 51, hkl 0 0 4
2θ = 54.93°, intensity 39, hkl 2 2 4
2θ = 44.32°, intensity 37, hkl 2 2 0
2θ = 73.18°, intensity 33, hkl 4 2 0
2θ = 52.47°, intensity 17, hkl 3 1 2
2θ = 72.88°, intensity 17, hkl 2 0 8
2θ = 64.47°, intensity 12, hkl 4 0 0
2θ = 52.27°, intensity 8, hkl 1 1 6
2θ = 70.88°, intensity 7, hkl 3 1 6

Record 6
Simulated powder diffraction line list of HoThGaSe for Cu Kα, 1.54184 Å, from a GGA-PBE-relaxed structure.
No peak broadening, texture or thermal motion is included.

```
data_HoThGaSe
_chemical_formula_sum 'Ho3 Th3 Ga3 Se3'
_cell_length_a 4.1975
_cell_length_b 4.1975
_cell_length_c 20.6747
_cell_angle_alpha 90.00
_cell_angle_beta 90.00
_cell_angle_gamma 120.00
_space_group_name_H-M_alt 'R 3 m'
_space_group_IT_number 160
_space_group_name_Hall 'R 3 -2"'
loop_
_atom_site_label
_atom_site_type_symbol
_atom_site_fract_x
_atom_site_fract_y
_atom_site_fract_z
_atom_site_occupancy
Ho1 Ho 0.0000 0.0000 0.0000 1
Th1 Th 0.0000 0.0000 0.4958 1
Ga1 Ga 0.0000 0.0000 0.7453 1
Se1 Se 0.0000 0.0000 0.2518 1
```

The 12 most intense peaks (2θ from 10° to 80°), most intense first:
2θ = 30.05°, intensity 100, hkl 1 0 4
2θ = 43.10°, intensity 38, hkl 1 1 0
2θ = 42.94°, intensity 38, hkl 0 1 8
2θ = 25.98°, intensity 26, hkl 0 1 2
2θ = 53.44°, intensity 20, hkl 0 2 4
2θ = 70.98°, intensity 17, hkl 2 1 4
2θ = 70.75°, intensity 17, hkl 1 1 12
2θ = 50.97°, intensity 14, hkl 2 0 2
2θ = 78.91°, intensity 13, hkl 1 2 8
2θ = 62.47°, intensity 12, hkl 2 0 8
2θ = 25.86°, intensity 9, hkl 0 0 6
2θ = 53.16°, intensity 7, hkl 0 0 12

Record 7
Simulated powder diffraction line list of Ho8ZnGa3Se4 for Cu Kα, 1.54184 Å, from a GGA-PBE-relaxed structure.
No peak broadening, texture or thermal motion is included.

```
data_Ho8ZnGa3Se4
_chemical_formula_sum 'Ho24 Zn3 Ga9 Se12'
_cell_length_a 7.8578
_cell_length_b 7.8578
_cell_length_c 21.9220
_cell_angle_alpha 90.00
_cell_angle_beta 90.00
_cell_angle_gamma 120.00
_space_group_name_H-M_alt 'R -3 m'
_space_group_IT_number 166
_space_group_name_Hall '-R 3 2"'
loop_
_atom_site_label
_atom_site_type_symbol
_atom_site_fract_x
_atom_site_fract_y
_atom_site_fract_z
_atom_site_occupancy
Ho1 Ho 0.0000 0.0000 0.2489 1
Ho2 Ho 0.0005 0.5002 0.2482 1
Zn1 Zn 0.0000 0.0000 0.0000 1
Ga1 Ga 0.0000 0.5000 0.0000 1
Se1 Se 0.0000 0.0000 0.5000 1
Se2 Se 0.0000 0.5000 0.5000 1
```

The 12 most intense peaks (2θ from 10° to 80°), most intense first:
2θ = 30.93°, intensity 100, hkl 0 2 4
2θ = 42.35°, intensity 42, hkl 2 0 8
2θ = 46.21°, intensity 33, hkl 2 2 0
2θ = 70.38°, intensity 18, hkl 2 2 12
2θ = 56.65°, intensity 18, hkl 4 0 4
2θ = 27.45°, intensity 17, hkl 2 0 2
2θ = 76.01°, intensity 15, hkl 2 4 4
2θ = 64.47°, intensity 12, hkl 0 4 8
2θ = 49.92°, intensity 9, hkl 0 0 12
2θ = 74.68°, intensity 8, hkl 0 2 16
2θ = 24.36°, intensity 8, hkl 0 0 6
2θ = 52.92°, intensity 6, hkl 2 2 6

Record 8
Simulated powder diffraction line list of HoGa6Si for Cu Kα, 1.54184 Å, from a GGA-PBE-relaxed structure.
No peak broadening, texture or thermal motion is included.

```
data_HoGa6Si
_chemical_formula_sum 'Ho3 Ga18 Si3'
_cell_length_a 8.4352
_cell_length_b 8.4352
_cell_length_c 8.4076
_cell_angle_alpha 90.00
_cell_angle_beta 90.00
_cell_angle_gamma 120.00
_space_group_name_H-M_alt 'R -3 m'
_space_group_IT_number 166
_space_group_name_Hall '-R 3 2"'
loop_
_atom_site_label
_atom_site_type_symbol
_atom_site_fract_x
_atom_site_fract_y
_atom_site_fract_z
_atom_site_occupancy
Ho1 Ho 0.0000 0.0000 0.0000 1
Ga1 Ga 0.0684 0.5342 0.3540 1
Si1 Si 0.0000 0.0000 0.5000 1
```

The 12 most intense peaks (2θ from 10° to 80°), most intense first:
2θ = 34.18°, intensity 100, hkl 2 1 1
2θ = 39.03°, intensity 90, hkl 1 2 2
2θ = 31.93°, intensity 42, hkl 0 0 3
2θ = 16.07°, intensity 36, hkl 1 0 1
2θ = 42.89°, intensity 34, hkl 2 2 0
2θ = 54.89°, intensity 34, hkl 2 1 4
2θ = 54.45°, intensity 23, hkl 2 2 3
2θ = 67.92°, intensity 18, hkl 5 0 2
2θ = 64.77°, intensity 18, hkl 0 5 1
2θ = 21.06°, intensity 13, hkl 1 1 0
2θ = 64.93°, intensity 12, hkl 1 2 5
2θ = 44.87°, intensity 12, hkl 1 0 4

Record 9
Simulated powder diffraction line list of Ho5Ga2Si for Cu Kα, 1.54184 Å, from a GGA-PBE-relaxed structure.
No peak broadening, texture or thermal motion is included.

```
data_Ho5Ga2Si
_chemical_formula_sum 'Ho20 Ga8 Si4'
_cell_length_a 7.634
_cell_length_b 7.634
_cell_length_c 13.533
_cell_angle_alpha 90.00
_cell_angle_beta 90.00
_cell_angle_gamma 90.00
_space_group_name_H-M_alt 'I 4/m c m'
_space_group_IT_number 140
_space_group_name_Hall '-I 4 2c'
loop_
_atom_site_label
_atom_site_type_symbol
_atom_site_fract_x
_atom_site_fract_y
_atom_site_fract_z
_atom_site_occupancy
Ho1 Ho 0.000 0.000 0.000 1
Ho2 Ho 0.168 0.332 0.149 1
Ga1 Ga 0.125 0.375 0.500 1
Si1 Si 0.000 0.000 0.250 1
```

The 12 most intense peaks (2θ from 10° to 80°), most intense first:
2θ = 32.90°, intensity 100, hkl 2 1 3
2θ = 37.25°, intensity 39, hkl 3 1 0
2θ = 35.46°, intensity 28, hkl 2 0 4
2θ = 26.93°, intensity 18, hkl 2 1 1
2θ = 53.50°, intensity 18, hkl 4 1 3
2θ = 55.78°, intensity 15, hkl 3 1 6
2θ = 39.97°, intensity 15, hkl 0 0 6
2θ = 26.82°, intensity 14, hkl 2 0 2
2θ = 58.06°, intensity 13, hkl 3 3 4
2θ = 69.51°, intensity 12, hkl 5 2 3
2θ = 31.20°, intensity 11, hkl 1 1 4
2θ = 54.55°, intensity 10, hkl 2 1 7

Record 10
Simulated powder diffraction line list of HoTmGaSi for Cu Kα, 1.54184 Å, from a GGA-PBE-relaxed structure.
No peak broadening, texture or thermal motion is included.

```
data_HoTmGaSi
_chemical_formula_sum 'Ho2 Tm2 Ga2 Si2'
_cell_length_a 3.925
_cell_length_b 4.263
_cell_length_c 10.598
_cell_angle_alpha 90.00
_cell_angle_beta 90.00
_cell_angle_gamma 90.00
_space_group_name_H-M_alt 'A m m 2'
_space_group_IT_number 38
loop_
_space_group_symop_operation_xyz
'x,y,z'
'-x,-y,z'
'-x,y,z'
'x,-y,z'
'x,y+1/2,z+1/2'
'-x,-y+1/2,z+1/2'
'-x,y+1/2,z+1/2'
'x,-y+1/2,z+1/2'
loop_
_atom_site_label
_atom_site_type_symbol
_atom_site_fract_x
_atom_site_fract_y
_atom_site_fract_z
_atom_site_occupancy
Ho1 Ho 0.000 0.000 0.000 1
Tm1 Tm 0.500 0.000 0.281 1
Ga1 Ga 0.500 0.000 0.565 1
Si1 Si 0.000 0.000 0.719 1
```

The 12 most intense peaks (2θ from 10° to 80°), most intense first:
2θ = 32.13°, intensity 100, hkl 1 1 1
2θ = 32.93°, intensity 48, hkl 0 1 3
2θ = 28.29°, intensity 43, hkl 1 0 2
2θ = 40.34°, intensity 38, hkl 1 1 3
2θ = 33.83°, intensity 28, hkl 0 0 4
2θ = 42.41°, intensity 24, hkl 0 2 0
2θ = 57.94°, intensity 19, hkl 2 1 3
2θ = 22.48°, intensity 19, hkl 0 1 1
2θ = 46.25°, intensity 18, hkl 2 0 0
2θ = 51.77°, intensity 17, hkl 1 2 2
2θ = 53.64°, intensity 16, hkl 1 1 5
2θ = 55.32°, intensity 14, hkl 0 2 4

Record 11
Simulated powder diffraction line list of Sm3HoGa3 for Cu Kα, 1.54184 Å, from a GGA-PBE-relaxed structure.
No peak broadening, texture or thermal motion is included.

```
data_Sm3HoGa3
_chemical_formula_sum 'Sm6 Ho2 Ga6'
_cell_length_a 9.2720
_cell_length_b 9.2720
_cell_length_c 4.8482
_cell_angle_alpha 90.00
_cell_angle_beta 90.00
_cell_angle_gamma 120.00
_space_group_name_H-M_alt 'P 63/m'
_space_group_IT_number 176
_space_group_name_Hall '-P 6c'
loop_
_atom_site_label
_atom_site_type_symbol
_atom_site_fract_x
_atom_site_fract_y
_atom_site_fract_z
_atom_site_occupancy
Sm1 Sm 0.0155 0.7582 0.2500 1
Ho1 Ho 0.3333 0.6667 0.7500 1
Ga1 Ga 0.0588 0.4522 0.2500 1
```

The 12 most intense peaks (2θ from 10° to 80°), most intense first:
2θ = 34.88°, intensity 100, hkl 2 1 1
2θ = 29.43°, intensity 26, hkl 2 1 0
2θ = 37.09°, intensity 26, hkl 0 0 2
2θ = 28.87°, intensity 21, hkl 2 0 1
2θ = 26.60°, intensity 16, hkl 1 1 1
2θ = 65.43°, intensity 16, hkl 2 1 3
2θ = 33.48°, intensity 15, hkl 3 0 0
2θ = 53.19°, intensity 14, hkl 2 3 1
2θ = 48.04°, intensity 14, hkl 2 1 2
2θ = 52.20°, intensity 10, hkl 1 4 0
2θ = 65.76°, intensity 10, hkl 1 4 2
2θ = 50.82°, intensity 9, hkl 3 0 2

Record 12
Simulated powder diffraction line list of Sm4HoGa5 for Cu Kα, 1.54184 Å, from a GGA-PBE-relaxed structure.
No peak broadening, texture or thermal motion is included.

```
data_Sm4HoGa5
_chemical_formula_sum 'Sm4 Ho1 Ga5'
_cell_length_a 3.625
_cell_length_b 3.625
_cell_length_c 18.167
_cell_angle_alpha 90.00
_cell_angle_beta 90.00
_cell_angle_gamma 90.00
_space_group_name_H-M_alt 'P 4/m m m'
_space_group_IT_number 123
_space_group_name_Hall '-P 4 2'
loop_
_atom_site_label
_atom_site_type_symbol
_atom_site_fract_x
_atom_site_fract_y
_atom_site_fract_z
_atom_site_occupancy
Sm1 Sm 0.000 0.000 0.101 1
Sm2 Sm 0.000 0.000 0.304 1
Ho1 Ho 0.000 0.000 0.500 1
Ga1 Ga 0.500 0.500 0.000 1
Ga2 Ga 0.500 0.500 0.203 1
Ga3 Ga 0.500 0.500 0.407 1
```

The 10 most intense peaks (2θ from 10° to 80°), most intense first:
2θ = 34.98°, intensity 100, hkl 1 1 0
2θ = 62.73°, intensity 36, hkl 2 1 5
2θ = 24.54°, intensity 15, hkl 0 0 5
2θ = 50.34°, intensity 12, hkl 2 0 0
2θ = 73.89°, intensity 11, hkl 2 2 0
2θ = 50.22°, intensity 6, hkl 0 0 10
2θ = 43.19°, intensity 5, hkl 1 1 5
2θ = 56.71°, intensity 4, hkl 1 0 10
2θ = 79.22°, intensity 3, hkl 2 1 10
2θ = 56.78°, intensity 2, hkl 2 1 0

What is the formula in the second record? HoSc3Ga2

Which formula does entry 9 have? Ho5Ga2Si